# 1
The following is a calculated powder X-ray diffraction pattern of Li4Fe7O2F14. It was derived from a crystal structure in the Materials Project, relaxed with GGA+U, using Cu Ka.
Intensities are scaled so that the largest is 100.

Crystal structure
```
data_Li4Fe7O2F14
_chemical_formula_sum 'Li4 Fe7 O2 F14'
_cell_length_a 6.1879
_cell_length_b 6.2205
_cell_length_c 10.7765
_cell_angle_alpha 91.03
_cell_angle_beta 105.74
_cell_angle_gamma 119.44
_space_group_name_H-M_alt 'P -1'
_space_group_IT_number 2
_space_group_name_Hall '-P 1'
loop_
_atom_site_label
_atom_site_fract_x
_atom_site_fract_y
_atom_site_fract_z
Li1 0.1212 0.0767 0.1800
Li2 0.1430 0.6114 0.6870
Fe1 0.0000 0.0000 0.5000
Fe2 0.0000 0.5000 0.0000
Fe3 0.4856 0.2465 0.7506
Fe4 0.5000 0.0000 0.0000
Fe5 0.5000 0.0000 0.5000
Fe6 0.5000 0.5000 0.5000
O1 0.2720 0.9364 0.6121
F1 0.2302 0.6389 0.8812
F2 0.2509 0.8725 0.1226
F3 0.2531 0.6056 0.3797
F4 0.2556 0.4114 0.1333
F5 0.2594 0.1438 0.3737
F6 0.2600 0.1029 0.8795
F7 0.2611 0.3958 0.6245
```

Most intense lines, 2θ = 10–90°, in order of rising 2θ:
- 17.37 deg, I 84, (0 0 2)
- 17.64 deg, I 100, (-1 1 1)
- 33.56 deg, I 32, (1 1 1)
- 33.66 deg, I 39, (1 1 -3)
- 40.76 deg, I 49, (2 -2 2)
- 40.95 deg, I 49, (0 2 2)
- 41.22 deg, I 48, (2 0 -4)
- 58.89 deg, I 31, (2 0 4)

---

# 2
The following is a calculated powder X-ray diffraction pattern of Li9Mn7O16. It was derived from a crystal structure in the Materials Project, relaxed with GGA+U, using Cu Ka.
Intensities are scaled so that the largest is 100.

Crystal structure
```
data_Li9Mn7O16
_chemical_formula_sum 'Li9 Mn7 O16'
_cell_length_a 5.8402
_cell_length_b 6.0212
_cell_length_c 9.8833
_cell_angle_alpha 77.62
_cell_angle_beta 81.82
_cell_angle_gamma 61.57
_space_group_name_H-M_alt 'P -1'
_space_group_IT_number 2
_space_group_name_Hall '-P 1'
loop_
_atom_site_label
_atom_site_fract_x
_atom_site_fract_y
_atom_site_fract_z
Li1 0.0000 0.0000 0.0000
Li2 0.0000 0.5000 0.0000
Li3 0.1202 0.1287 0.2494
Li4 0.2481 0.7518 0.5033
Li5 0.3725 0.3777 0.7540
Li6 0.5000 0.0000 0.0000
Mn1 0.1279 0.6229 0.2455
Mn2 0.2493 0.2484 0.5005
Mn3 0.3660 0.8850 0.7565
Mn4 0.5000 0.5000 0.0000
O1 0.0368 0.5702 0.6254
O2 0.0814 0.0577 0.6240
O3 0.1772 0.1853 0.8623
O4 0.2125 0.6861 0.8741
O5 0.3254 0.7668 0.1174
O6 0.3393 0.3021 0.1182
O7 0.4249 0.4242 0.3712
O8 0.4633 0.9324 0.3712
```

Most intense lines, 2θ = 10–90°, in order of rising 2θ:
- 18.28 deg, I 100, (1 1 1)
- 33.84 deg, I 19, (-1 1 2)
- 36.12 deg, I 12, (1 -1 2)
- 36.25 deg, I 13, (1 1 -3)
- 40.70 deg, I 35, (0 2 3)
- 44.12 deg, I 28, (2 0 3)
- 44.23 deg, I 27, (2 2 -2)
- 61.87 deg, I 17, (2 4 1)

---

# 3
The following is a calculated powder X-ray diffraction pattern of MgVCl2O. It was derived from a crystal structure in the Materials Project, relaxed with GGA+U, using Cu Ka.
Intensities are scaled so that the largest is 100.

Crystal structure
```
data_MgVCl2O
_chemical_formula_sum 'Mg2 V2 Cl4 O2'
_cell_length_a 13.2407
_cell_length_b 3.9232
_cell_length_c 4.3181
_cell_angle_alpha 90.00
_cell_angle_beta 108.86
_cell_angle_gamma 90.00
_space_group_name_H-M_alt 'C 1 m 1'
_space_group_IT_number 8
_space_group_name_Hall 'C -2y'
loop_
_atom_site_label
_atom_site_fract_x
_atom_site_fract_y
_atom_site_fract_z
Mg1 0.0000 0.0000 0.0000
V1 0.4895 0.0000 0.4880
Cl1 0.1231 0.0000 0.6199
Cl2 0.3607 0.5000 0.3549
O1 0.4948 0.0000 0.9928
```

Most intense lines, 2θ = 10–90°, in order of rising 2θ:
- 14.14 deg, I 100, (2 0 0)
- 21.77 deg, I 30, (2 0 -1)
- 29.76 deg, I 10, (2 0 1)
- 31.28 deg, I 34, (3 1 0)
- 34.03 deg, I 23, (1 1 1)
- 41.84 deg, I 20, (2 0 -2)
- 42.45 deg, I 47, (5 1 -1)
- 46.28 deg, I 14, (0 2 0)

---

# 4
The following is a calculated powder X-ray diffraction pattern of Li9Mn2Co5O16. It was derived from a crystal structure in the Materials Project, relaxed with GGA+U, using Cu Ka.
Intensities are scaled so that the largest is 100.

Crystal structure
```
data_Li9Mn2Co5O16
_chemical_formula_sum 'Li18 Mn4 Co10 O32'
_cell_length_a 38.6476
_cell_length_b 2.9452
_cell_length_c 5.0698
_cell_angle_alpha 90.00
_cell_angle_beta 93.74
_cell_angle_gamma 90.00
_space_group_name_H-M_alt 'C 1 m 1'
_space_group_IT_number 8
_space_group_name_Hall 'C -2y'
loop_
_atom_site_label
_atom_site_fract_x
_atom_site_fract_y
_atom_site_fract_z
Li1 0.0000 0.0000 0.0000
Li2 0.0008 0.5000 0.4847
Li3 0.1293 0.0000 0.3717
Li4 0.1287 0.5000 0.8817
Li5 0.2536 0.0000 0.7528
Li6 0.2543 0.5000 0.2437
Li7 0.3823 0.5000 0.6338
Li8 0.3840 0.0000 0.1344
Li9 0.4419 0.5000 0.3136
Mn1 0.0659 0.0000 0.6852
Mn2 0.3174 0.0000 0.4386
Co1 0.0655 0.5000 0.1855
Co2 0.1916 0.0000 0.0626
Co3 0.1915 0.5000 0.5625
Co4 0.3175 0.5000 0.9390
Co5 0.4416 0.0000 0.8129
O1 0.0372 0.0000 0.3571
O2 0.0383 0.5000 0.8135
O3 0.0943 0.0000 0.0163
O4 0.0942 0.5000 0.5544
O5 0.1621 0.5000 0.2325
O6 0.1627 0.0000 0.7321
O7 0.2205 0.0000 0.3934
O8 0.2211 0.5000 0.8925
O9 0.2887 0.0000 0.1085
O10 0.2892 0.5000 0.5689
O11 0.3450 0.0000 0.7685
O12 0.3454 0.5000 0.3079
O13 0.4142 0.0000 0.5132
O14 0.4138 0.5000 0.9591
O15 0.4693 0.5000 0.6712
O16 0.4696 0.0000 0.1130
```

Most intense lines, 2θ = 10–90°, in order of rising 2θ:
- 18.40 deg, I 100, (8 0 0)
- 35.74 deg, I 28, (3 1 -1)
- 36.11 deg, I 13, (2 0 2)
- 43.23 deg, I 56, (11 1 -1)
- 44.08 deg, I 26, (10 0 2)
- 57.10 deg, I 9, (19 1 -1)
- 63.42 deg, I 14, (21 1 1)
- 63.48 deg, I 14, (1 1 -3)

---

# 5
The following is a calculated powder X-ray diffraction pattern of Li7Co5O12. It was derived from a crystal structure in the Materials Project, relaxed with GGA+U, using Cu Ka.
Intensities are scaled so that the largest is 100.

Crystal structure
```
data_Li7Co5O12
_chemical_formula_sum 'Li14 Co10 O24'
_cell_length_a 15.3148
_cell_length_b 2.8688
_cell_length_c 10.1399
_cell_angle_alpha 90.00
_cell_angle_beta 110.11
_cell_angle_gamma 90.00
_space_group_name_H-M_alt 'C 1 2/m 1'
_space_group_IT_number 12
_space_group_name_Hall '-C 2y'
loop_
_atom_site_label
_atom_site_fract_x
_atom_site_fract_y
_atom_site_fract_z
Li1 0.0000 0.0000 0.0000
Li2 0.9996 0.5000 0.2412
Li3 0.1650 0.0000 0.9205
Li4 0.1656 0.0000 0.4146
Co1 0.0000 0.0000 0.5000
Co2 0.1620 0.5000 0.1591
Co3 0.1681 0.5000 0.6670
O1 0.0817 0.5000 0.4648
O2 0.0856 0.0000 0.7030
O3 0.0931 0.5000 0.9767
O4 0.0946 0.0000 0.2030
O5 0.2402 0.0000 0.1343
O6 0.2489 0.5000 0.3613
```

Most intense lines, 2θ = 10–90°, in order of rising 2θ:
- 12.31 deg, I 9, (2 0 0)
- 18.48 deg, I 100, (2 0 -2)
- 36.12 deg, I 13, (4 0 2)
- 36.50 deg, I 26, (3 1 0)
- 44.01 deg, I 82, (5 1 -2)
- 57.90 deg, I 10, (7 1 -4)
- 63.94 deg, I 15, (3 1 -6)
- 64.03 deg, I 14, (7 1 2)

---

# 6
The following is a calculated powder X-ray diffraction pattern of Li9Mn2Co5O16. It was derived from a crystal structure in the Materials Project, relaxed with GGA+U, using Cu Ka.
Intensities are scaled so that the largest is 100.

Crystal structure
```
data_Li9Mn2Co5O16
_chemical_formula_sum 'Li9 Mn2 Co5 O16'
_cell_length_a 8.4458
_cell_length_b 2.9010
_cell_length_c 11.8217
_cell_angle_alpha 90.00
_cell_angle_beta 90.35
_cell_angle_gamma 90.00
_space_group_name_H-M_alt 'P 1 m 1'
_space_group_IT_number 6
_space_group_name_Hall 'P -2y'
loop_
_atom_site_label
_atom_site_fract_x
_atom_site_fract_y
_atom_site_fract_z
Li1 0.0000 0.0000 0.0000
Li2 0.0001 0.0000 0.2422
Li3 0.0009 0.0000 0.4796
Li4 0.2340 0.5000 0.1163
Li5 0.2507 0.5000 0.6212
Li6 0.4984 0.0000 0.7514
Li7 0.5023 0.0000 0.2350
Li8 0.7465 0.5000 0.8802
Li9 0.7753 0.5000 0.3526
Mn1 0.2359 0.5000 0.3679
Mn2 0.7490 0.5000 0.6161
Co1 0.0005 0.0000 0.7437
Co2 0.2558 0.5000 0.8668
Co3 0.4988 0.0000 0.4878
Co4 0.5031 0.0000 0.9981
Co5 0.7764 0.5000 0.1221
O1 0.0040 0.5000 0.8515
O2 0.0186 0.5000 0.3692
O3 0.2469 0.0000 0.4839
O4 0.2492 0.0000 0.2603
O5 0.2501 0.0000 0.9801
O6 0.2510 0.0000 0.7459
O7 0.4780 0.5000 0.3783
O8 0.4955 0.5000 0.1081
O9 0.4969 0.5000 0.8748
O10 0.5204 0.5000 0.6026
O11 0.7420 0.0000 0.7256
O12 0.7434 0.0000 0.0006
O13 0.7456 0.0000 0.2344
O14 0.7582 0.0000 0.5057
O15 0.9811 0.5000 0.6333
O16 0.9897 0.5000 0.1150
```

Most intense lines, 2θ = 10–90°, in order of rising 2θ:
- 18.27 deg, I 100, (1 0 -2)
- 35.40 deg, I 15, (3 0 2)
- 36.12 deg, I 25, (1 1 2)
- 42.83 deg, I 27, (4 0 0)
- 43.72 deg, I 53, (0 1 4)
- 47.48 deg, I 13, (3 1 -2)
- 62.72 deg, I 14, (4 1 -4)
- 63.02 deg, I 14, (4 1 4)